[1]
Starting from DFT lattice parameters and positions (PBE), the powder diffractogram of Cs2LiMgBi2 was simulated for a wavelength of 1.5418 Å.
Kinematic intensities with the Lorentz-polarization factor, no thermal factor.

Largest 12 diffraction maxima, in order of falling intensity, 10 to 90 degrees two-theta:
d/Å	intensity
3.382	100.0
3.661	75.7
2.056	50.7
2.589	37.0
2.831	27.2
2.051	26.5
4.472	26.3
1.607	25.7
1.367	21.1
1.637	15.6
2.240	14.5
1.830	14.0

Structure:
Cell: 10.3247 10.3247 10.3247 Å, 138.47 60.20 138.46°
Positions (direct):
Cs 0.1698 0.2439 0.4136
Cs 0.3302 0.7439 0.0741
Cs 0.6698 0.2561 0.9259
Cs 0.8302 0.7561 0.5864
Li 0.2500 0.2500 0.0000
Li 0.7500 0.7500 0.0000
Mg 0.2500 0.7500 0.5000
Mg 0.7500 0.2500 0.5000
Bi 0.0865 0.7487 0.8352
Bi 0.4135 0.2487 0.6622
Bi 0.5865 0.7513 0.3378
Bi 0.9135 0.2513 0.1648

[2]
Starting from DFT lattice parameters and positions (PBE), the powder diffractogram of BaBiC was simulated for a wavelength of 1.5418 Å.
Kinematic intensities with the Lorentz-polarization factor, no thermal factor.

Largest 12 diffraction maxima, in order of falling intensity, 10 to 90 degrees two-theta:
d/Å	intensity
3.301	100.0
8.438	75.2
2.679	62.3
3.376	43.9
2.330	24.0
3.445	23.8
2.813	22.3
4.043	21.2
2.501	20.5
1.918	17.9
2.292	17.0
2.016	16.4

Structure:
Cell: 5.4544 5.4544 9.3610 Å, 113.04 113.04 50.59°
Positions (direct):
Ba 0.0824 0.0824 0.3115
Ba 0.9176 0.9176 0.6885
Bi 0.3313 0.3313 0.9595
Bi 0.6687 0.6687 0.0405
C 0.4325 0.4325 0.4916
C 0.5675 0.5675 0.5084

[3]
Starting from DFT lattice parameters and positions (PBE), the powder diffractogram of Ba4In was simulated for a wavelength of 1.5418 Å.
Kinematic intensities with the Lorentz-polarization factor, no thermal factor.

Largest 12 diffraction maxima, in order of falling intensity, 10 to 90 degrees two-theta:
d/Å	intensity
3.444	100.0
2.875	52.8
2.902	42.8
3.680	40.1
3.933	39.1
2.014	34.3
3.069	31.9
3.010	30.5
3.954	28.2
2.163	27.4
7.865	26.1
2.633	24.1

Structure:
Cell: 8.9640 8.9640 8.4298 Å, 90.00 90.00 122.66°
Positions (direct):
Ba 0.0485 0.3085 0.0601
Ba 0.1915 0.4515 0.5601
Ba 0.3085 0.0485 0.5601
Ba 0.4515 0.1915 0.0601
Ba 0.5485 0.8085 0.9399
Ba 0.6915 0.9515 0.4399
Ba 0.8085 0.5485 0.4399
Ba 0.9515 0.6915 0.9399
In 0.2500 0.7500 0.2500
In 0.7500 0.2500 0.7500

[4]
Starting from DFT lattice parameters and positions (PBE), the powder diffractogram of Ce2As7Rh12 was simulated for a wavelength of 1.5418 Å.
Kinematic intensities with the Lorentz-polarization factor, no thermal factor.

Largest 12 diffraction maxima, in order of falling intensity, 10 to 90 degrees two-theta:
d/Å	intensity
2.521	100.0
1.889	24.7
1.977	18.7
2.052	16.3
1.366	13.6
1.223	11.1
1.180	9.9
1.986	9.1
2.499	9.0
2.331	8.5
1.899	7.6
2.164	7.2

Structure:
Cell: 9.9961 9.9961 3.9549 Å, 90.00 90.00 120.00°
Positions (direct):
Ce 0.3333 0.6667 0.2492
Ce 0.6667 0.3333 0.7508
As 0.0000 0.0000 0.5000
As 0.1153 0.4028 0.7497
As 0.2875 0.8847 0.7497
As 0.4028 0.2875 0.2503
As 0.5972 0.7125 0.7497
As 0.7125 0.1153 0.2503
As 0.8847 0.5972 0.2503
Rh 0.0661 0.6190 0.7498
Rh 0.1155 0.8528 0.2451
Rh 0.1472 0.2627 0.2451
Rh 0.2627 0.1155 0.7549
Rh 0.3810 0.4471 0.7498
Rh 0.4471 0.0661 0.2502
Rh 0.5529 0.9339 0.7498
Rh 0.6190 0.5529 0.2502
Rh 0.7373 0.8845 0.2451
Rh 0.8528 0.7373 0.7549
Rh 0.8845 0.1472 0.7549
Rh 0.9339 0.3810 0.2502

[5]
Starting from DFT lattice parameters and positions (PBE), the powder diffractogram of CsAgGeSe2 was simulated for a wavelength of 1.5418 Å.
Kinematic intensities with the Lorentz-polarization factor, no thermal factor.

Largest 12 diffraction maxima, in order of falling intensity, 10 to 90 degrees two-theta:
d/Å	intensity
3.438	100.0
2.986	41.9
3.397	37.3
2.356	28.1
2.797	23.7
1.993	23.4
2.545	21.7
1.969	20.4
7.571	16.4
1.910	14.7
3.011	14.6
2.348	13.9

Structure:
Cell: 8.2983 8.2983 6.4978 Å, 90.00 90.00 131.67°
Positions (direct):
Cs 0.2500 0.7500 0.7674
Cs 0.7500 0.2500 0.2326
Ag 0.0000 0.0000 0.0000
Ag 0.5000 0.5000 0.0000
Ge 0.2500 0.2500 0.5000
Ge 0.7500 0.7500 0.5000
Se 0.1117 0.8883 0.2829
Se 0.3883 0.6117 0.2829
Se 0.6117 0.3883 0.7171
Se 0.8883 0.1117 0.7171

[6]
Starting from DFT lattice parameters and positions (PBE), the powder diffractogram of LiAc2Ag4Ge3 was simulated for a wavelength of 1.5418 Å.
Kinematic intensities with the Lorentz-polarization factor, no thermal factor.

Largest 12 diffraction maxima, in order of falling intensity, 10 to 90 degrees two-theta:
d/Å	intensity
2.765	100.0
2.830	86.6
2.272	62.6
1.772	44.0
3.213	33.3
1.958	32.8
1.483	26.7
1.389	24.0
1.607	21.0
4.192	15.5
1.576	15.1
1.165	13.4

Structure:
Cell: 4.5443 4.5443 10.8503 Å, 90.00 90.00 90.00°
Positions (direct):
Li 0.0000 0.0000 0.0000
Ac 0.0000 0.5000 0.7438
Ac 0.5000 0.0000 0.2562
Ag 0.0000 0.0000 0.5000
Ag 0.0000 0.5000 0.1208
Ag 0.5000 0.0000 0.8792
Ag 0.5000 0.5000 0.5000
Ge 0.0000 0.5000 0.3604
Ge 0.5000 0.0000 0.6396
Ge 0.5000 0.5000 0.0000

[7]
Starting from DFT lattice parameters and positions (PBE), the powder diffractogram of NbSbI was simulated for a wavelength of 1.5418 Å.
Kinematic intensities with the Lorentz-polarization factor, no thermal factor.

Largest 12 diffraction maxima, in order of falling intensity, 10 to 90 degrees two-theta:
d/Å	intensity
2.425	100.0
2.884	78.7
3.168	74.8
2.391	72.8
2.623	63.4
2.682	53.2
1.644	44.0
2.302	41.9
3.243	41.0
1.691	37.6
3.087	37.1
1.824	36.4

Structure:
Cell: 7.7130 7.7130 7.3091 Å, 90.00 90.00 131.61°
Positions (direct):
Nb 0.1000 0.9000 0.9498
Nb 0.4000 0.6000 0.4498
Nb 0.6000 0.4000 0.5502
Nb 0.9000 0.1000 0.0502
Sb 0.2149 0.2851 0.7500
Sb 0.2851 0.2149 0.2500
Sb 0.7149 0.7851 0.7500
Sb 0.7851 0.7149 0.2500
I 0.2059 0.7941 0.6027
I 0.2941 0.7059 0.1027
I 0.7059 0.2941 0.8973
I 0.7941 0.2059 0.3973

[8]
Starting from DFT lattice parameters and positions (PBE), the powder diffractogram of Nd2P2N5 was simulated for a wavelength of 1.5418 Å.
Kinematic intensities with the Lorentz-polarization factor, no thermal factor.

Largest 12 diffraction maxima, in order of falling intensity, 10 to 90 degrees two-theta:
d/Å	intensity
2.726	100.0
3.889	51.2
2.850	27.8
2.660	27.2
1.944	25.3
2.285	21.8
3.823	21.1
2.183	20.3
1.548	19.3
1.620	17.5
1.733	11.8
2.132	11.1

Structure:
Cell: 8.5820 8.5820 8.5820 Å, 54.03 141.21 143.89°
Positions (direct):
Nd 0.0197 0.1134 0.1331
Nd 0.0197 0.3866 0.4063
Nd 0.9803 0.6134 0.5937
Nd 0.9803 0.8866 0.8669
P 0.4098 0.7380 0.1717
P 0.4660 0.4660 0.0000
P 0.4660 0.9660 0.5000
P 0.5663 0.2380 0.8283
N 0.0008 0.4309 0.0699
N 0.0502 0.2866 0.7773
N 0.0502 0.7730 0.2636
N 0.3610 0.9309 0.9301
N 0.4624 0.1852 0.5952
N 0.4624 0.3672 0.7772
N 0.5094 0.2730 0.2227
N 0.5094 0.7866 0.7364
N 0.5900 0.6852 0.2228
N 0.5900 0.8672 0.4048

[9]
Starting from DFT lattice parameters and positions (PBE), the powder diffractogram of Ac4Dy3TmBi8 was simulated for a wavelength of 1.5418 Å.
Kinematic intensities with the Lorentz-polarization factor, no thermal factor.

Largest 12 diffraction maxima, in order of falling intensity, 10 to 90 degrees two-theta:
d/Å	intensity
3.305	100.0
2.337	78.0
1.909	22.0
1.350	21.0
1.479	19.5
1.477	16.4
1.102	15.0
1.652	13.1
1.904	6.1
1.347	5.2
1.170	4.8
1.167	3.4

Structure:
Cell: 9.3387 9.3387 9.3387 Å, 60.13 60.13 60.13°
Positions (direct):
Ac 0.0000 0.0000 0.0000
Ac 0.0000 0.5000 0.5000
Ac 0.5000 0.0000 0.5000
Ac 0.5000 0.5000 0.0000
Dy 0.0000 0.0000 0.5000
Dy 0.0000 0.5000 0.0000
Dy 0.5000 0.0000 0.0000
Tm 0.5000 0.5000 0.5000
Bi 0.2423 0.2423 0.2423
Bi 0.2433 0.7412 0.7412
Bi 0.2588 0.2588 0.7567
Bi 0.2588 0.7567 0.2588
Bi 0.7412 0.2433 0.7412
Bi 0.7412 0.7412 0.2433
Bi 0.7567 0.2588 0.2588
Bi 0.7577 0.7577 0.7577

[10]
Starting from DFT lattice parameters and positions (PBE), the powder diffractogram of Tb3YHo2Se6 was simulated for a wavelength of 1.5418 Å.
Kinematic intensities with the Lorentz-polarization factor, no thermal factor.

Largest 12 diffraction maxima, in order of falling intensity, 10 to 90 degrees two-theta:
d/Å	intensity
2.885	100.0
2.044	37.2
2.033	24.4
1.667	13.0
2.038	12.3
1.292	11.1
1.287	10.9
1.180	10.5
3.334	8.6
1.178	8.3
1.443	8.0
1.670	6.5

Structure:
Cell: 7.0676 7.0676 7.0845 Å, 99.53 99.53 120.33°
Positions (direct):
Tb 0.0000 0.0000 0.0000
Tb 0.3350 0.6650 0.0000
Tb 0.6650 0.3350 0.0000
Y 0.5000 0.5000 0.5000
Ho 0.1663 0.8337 0.5000
Ho 0.8337 0.1663 0.5000
Se 0.0821 0.4176 0.2525
Se 0.2467 0.2467 0.7464
Se 0.4176 0.0821 0.2525
Se 0.5824 0.9179 0.7475
Se 0.7533 0.7533 0.2536
Se 0.9179 0.5824 0.7475

[11]
Starting from DFT lattice parameters and positions (PBE), the powder diffractogram of Tb3YHo5 was simulated for a wavelength of 1.5418 Å.
Kinematic intensities with the Lorentz-polarization factor, no thermal factor.

Largest 12 diffraction maxima, in order of falling intensity, 10 to 90 degrees two-theta:
d/Å	intensity
2.799	100.0
2.824	92.6
1.988	33.8
1.476	28.7
1.618	24.8
1.622	23.6
1.255	10.1
2.180	9.7
1.184	9.3
1.737	8.3
1.399	7.9
1.614	6.4

Structure:
Cell: 6.5860 6.5860 13.1895 Å, 94.81 94.81 94.63°
Positions (direct):
Tb 0.0000 0.0000 0.0000
Tb 0.0000 0.0000 0.5000
Tb 0.3330 0.3341 0.6666
Tb 0.3341 0.3330 0.1666
Tb 0.6659 0.6670 0.8334
Tb 0.6670 0.6659 0.3334
Y 0.1650 0.8350 0.2500
Y 0.8350 0.1650 0.7500
Ho 0.1647 0.5048 0.9174
Ho 0.1693 0.4943 0.4171
Ho 0.1698 0.8302 0.7500
Ho 0.4943 0.1693 0.9171
Ho 0.4952 0.8353 0.5826
Ho 0.5048 0.1647 0.4174
Ho 0.5057 0.8307 0.0829
Ho 0.8302 0.1698 0.2500
Ho 0.8307 0.5057 0.5829
Ho 0.8353 0.4952 0.0826

[12]
Starting from DFT lattice parameters and positions (PBE), the powder diffractogram of TbPr2C2I2 was simulated for a wavelength of 1.5418 Å.
Kinematic intensities with the Lorentz-polarization factor, no thermal factor.

Largest 12 diffraction maxima, in order of falling intensity, 10 to 90 degrees two-theta:
d/Å	intensity
3.220	100.0
2.958	98.2
2.372	55.1
1.804	46.5
2.277	43.5
1.643	35.5
1.440	19.1
1.448	18.5
1.321	14.9
1.610	14.6
1.201	12.2
1.150	11.2

Structure:
Cell: 10.2457 10.2457 10.2457 Å, 154.32 154.32 36.64°
Positions (direct):
Tb 0.0000 0.0000 0.0000
Pr 0.4181 0.4181 0.0000
Pr 0.5819 0.5819 0.0000
C 0.0000 0.5000 0.5000
C 0.5000 0.0000 0.5000
I 0.1670 0.1670 0.0000
I 0.8330 0.8330 0.0000